# NiH12SO9
Simulated PXRD pattern, λ = 1.5418 Å (Cu Kα). Input: a PBE+U-relaxed structure.

Peak list (6 most intense, 2θ from 10° to 90°, by intensity)
two_theta  I/Imax  (hkl)
22.5  100  0 1 2
20.3  99  1 1 0
30.5  44  2 0 2
15.1  40  1 0 1
36.9  39  1 2 2
50.7  36  3 -1 4

```
data_NiH12SO9
_symmetry_space_group_name_H-M 'R 3'
_symmetry_Int_Tables_number 146
_symmetry_space_group_name_Hall 'R 3'
_cell_length_a 8.7545
_cell_length_b 8.7545
_cell_length_c 9.2717
_cell_angle_alpha 90.00
_cell_angle_beta 90.00
_cell_angle_gamma 120.00
loop_
_atom_site_label
_atom_site_type_symbol
_atom_site_fract_x
_atom_site_fract_y
_atom_site_fract_z
Ni1 Ni 0.0000 0.0000 0.0000
H1 H 0.0147 0.5998 0.7798
H2 H 0.0249 0.8420 0.2422
H3 H 0.0393 0.4841 0.5045
H4 H 0.1345 0.3676 0.4981
S1 S 0.0000 0.0000 0.4897
O1 O 0.0006 0.2004 0.8818
O2 O 0.0508 0.8700 0.4193
O3 O 0.1430 0.6722 0.8050
```

---

# YNiH3SO7
Simulated PXRD pattern, λ = 1.5418 Å (Cu Kα). Input: a PBE+U-relaxed structure.

Peak list (6 most intense, 2θ from 10° to 90°, by intensity)
two_theta  I/Imax  (hkl)
14.8  100  0 1 1
28.7  96  1 2 1
21.3  53  1 0 2
35.4  39  2 2 0
29.5  38  2 1 1
31.2  38  1 1 3

```
data_YNiH3SO7
_symmetry_space_group_name_H-M 'P n m a'
_symmetry_Int_Tables_number 62
_symmetry_space_group_name_Hall '-P 2ac 2n'
_cell_length_a 7.020
_cell_length_b 7.355
_cell_length_c 10.399
_cell_angle_alpha 90.00
_cell_angle_beta 90.00
_cell_angle_gamma 90.00
loop_
_atom_site_label
_atom_site_type_symbol
_atom_site_fract_x
_atom_site_fract_y
_atom_site_fract_z
Y1 Y 0.241 0.250 0.199
Ni1 Ni 0.000 0.000 0.000
H1 H 0.021 0.048 0.760
H2 H 0.233 0.250 0.929
S1 S 0.121 0.250 0.553
O1 O 0.039 0.750 0.354
O2 O 0.044 0.566 0.807
O3 O 0.051 0.250 0.417
O4 O 0.128 0.250 0.992
O5 O 0.237 0.083 0.575
```